For RbLiCu2H3S2O10, a structure optimized by DFT (GGA-PBE) gives the theoretical X-ray diffraction stick pattern in this record (CuKα).

Most intense lines, 2θ from 10° to 90°, low angle first:
17.93 deg, I 78; 24.99 deg, I 100; 25.40 deg, I 49; 29.25 deg, I 46; 29.90 deg, I 89; 30.26 deg, I 53; 31.13 deg, I 71; 33.26 deg, I 46

Crystal structure
Unit cell a=5.6003 b=6.2465 c=7.7910 alpha=100.96 beta=102.31 gamma=114.69
Fractional positions:
Rb 0.0000 0.0000 0.0000
Li 0.6488 0.3869 0.7628
Cu 0.3982 0.5311 0.4289
Cu 0.9740 0.9846 0.4767
H 0.3372 0.9344 0.6578
H 0.4558 0.9819 0.4892
H 0.5036 0.8246 0.2561
S 0.2050 0.5189 0.7890
S 0.7805 0.4264 0.2060
O 0.0174 0.6203 0.7222
O 0.0390 0.2397 0.7228
O 0.3295 0.6141 0.9908
O 0.3709 0.0501 0.5852
O 0.4401 0.5918 0.7055
O 0.5382 0.3423 0.2759
O 0.5759 0.8636 0.3909
O 0.6810 0.3122 0.0020
O 0.9303 0.7033 0.2542
O 0.9729 0.3383 0.2939